1.
Simulated X-ray diffraction stick pattern
Compound: Rb3NaMgRu2O8
Radiation: Cu Kα X-rays
Structure: a cell relaxed with PBE

Structure:
Lattice parameters (Å, degrees): 12.5051 6.1665 7.9426 90.00 95.50 90.00
Space group C2/m (No. 12)
Asymmetric unit:
Rb 0.0000 0.0000 0.0000 x2
Rb 0.2313 0.5000 0.3288 x4
Na 0.0000 0.0000 0.5000 x2
Mg 0.0000 0.5000 0.5000 x2
Ru 0.1717 0.5000 0.7831 x4
O 0.0901 0.2910 0.6413 x8
O 0.1437 0.5000 0.9958 x4
O 0.1917 0.0000 0.2709 x4

Most intense lines, 2θ = 5–70°, sorted by position:
| hkl | Position (°2θ) | intensity |
| --- | --- | --- |
| 2 0 1 | 18.97 | 44 |
| 2 0 -2 | 25.51 | 37 |
| 3 1 0 | 25.88 | 100 |
| 1 1 -2 | 27.17 | 89 |
| 3 1 -1 | 27.42 | 46 |
| 2 0 2 | 27.87 | 51 |
| 0 2 0 | 28.96 | 83 |
| 2 2 2 | 40.63 | 62 |


2.
Simulated X-ray diffraction stick pattern
Compound: Rb3NaMgRu2O8
Radiation: Cu Kα X-rays
Structure: a cell relaxed with PBE

Structure:
Lattice parameters (Å, degrees): 6.1006 6.1006 9.5063 90.00 90.00 120.00
Space group P3m1 (No. 156)
Asymmetric unit:
Rb 0.0000 0.0000 0.0000 x1
Rb 0.3333 0.6667 0.5455 x1
Rb 0.6667 0.3333 0.2443 x1
Na 0.3333 0.6667 0.1906 x1
Mg 0.3333 0.6667 0.9039 x1
Ru 0.0000 0.0000 0.3987 x1
Ru 0.6667 0.3333 0.8560 x1
O 0.0000 0.0000 0.5849 x1
O 0.1578 0.3156 0.3195 x3
O 0.5061 0.0122 0.9576 x3
O 0.6667 0.3333 0.6732 x1

Most intense lines, 2θ = 5–70°, sorted by position:
| hkl | Position (°2θ) | intensity |
| --- | --- | --- |
| 0 1 1 | 19.22 | 41 |
| 0 1 2 | 25.20 | 57 |
| 1 1 0 | 29.28 | 100 |
| 0 1 3 | 32.96 | 46 |
| 2 0 2 | 39.01 | 35 |
| 1 2 2 | 49.51 | 18 |
| 3 0 0 | 51.92 | 19 |
| 2 1 3 | 54.30 | 21 |


3.
Simulated X-ray diffraction stick pattern
Compound: Na6MgS4O16
Radiation: Cu Kα X-rays
Structure: a cell relaxed with PBE

Structure:
Lattice parameters (Å, degrees): 9.9159 9.2891 8.3117 90.00 113.58 90.00
Space group P2_1/c (No. 14)
Asymmetric unit:
Na 0.0524 0.1511 0.4100 x4
Na 0.1885 0.0151 0.0328 x4
Na 0.3891 0.6372 0.3169 x4
Mg 0.5000 0.0000 0.5000 x2
S 0.1620 0.6472 0.8467 x4
S 0.3602 0.1943 0.7754 x4
O 0.0372 0.6031 0.6814 x4
O 0.1457 0.5841 0.0013 x4
O 0.1690 0.6929 0.3595 x4
O 0.2110 0.2448 0.1794 x4
O 0.3010 0.5937 0.8333 x4
O 0.3648 0.1032 0.9248 x4
O 0.4058 0.1047 0.6572 x4
O 0.4693 0.1847 0.3443 x4

Most intense lines, 2θ = 5–70°, sorted by position:
| hkl | Position (°2θ) | intensity |
| --- | --- | --- |
| 2 1 0 | 21.77 | 84 |
| 0 2 1 | 22.45 | 56 |
| 2 1 -2 | 25.62 | 100 |
| 2 1 1 | 28.27 | 75 |
| 1 0 2 | 28.81 | 46 |
| 3 0 -2 | 29.43 | 48 |
| 0 2 2 | 30.35 | 57 |
| 1 3 -1 | 31.24 | 38 |